The following is a simulated PXRD pattern of Sc4HCN. It was derived from a GGA-PBE-relaxed structure, using λ = 1.5418 Å (Cu Kα).
Lines closer than 0.1° are merged.

Main lines, low angle first (2θ = 10–80°):
| 2theta | I_rel | hkl |
| --- | --- | --- |
| 16.43 | 17 | 0 1 1 |
| 33.22 | 92 | 0 2 2 |
| 33.59 | 91 | 2 0 2 |
| 38.71 | 100 | 2 2 0 |
| 38.86 | 50 | 0 0 4 |
| 56.02 | 59 | 2 2 4 |
| 66.38 | 20 | 2 4 2 |
| 67.03 | 31 | 4 2 2 |

abc: 6.527 6.633 9.269
angles: 90.00 90.00 90.00
Space group Imma (No. 74)
Symmetry-distinct sites (fractional):
Sc 0.000 0.016 0.245 (multiplicity 8)
Sc 0.240 0.250 0.007 (multiplicity 8)
H 0.000 0.250 0.632 (multiplicity 4)
C 0.000 0.000 0.000 (multiplicity 4)
N 0.250 0.250 0.250 (multiplicity 4)